For PaRh2O6, a cell relaxed with GGA-PBE gives the computed powder diffraction line list in this record (Cu Ka).
Peak positions follow from Bragg's law for the DFT cell and can differ from measured ones.

Cell and atoms:
```
PaRh2O6
1.0
9.1338 0.0000 0.0000
-4.5669 7.9101 0.0000
0.0000 0.0000 4.5605
Pa Rh O
3 6 18
direct
0.0000 0.0000 0.0000
0.3333 0.6667 0.5008
0.6667 0.3333 0.4992
0.0000 0.3386 0.0000
0.0000 0.6717 0.5000
0.3283 0.3283 0.5000
0.3386 0.0000 0.0000
0.6614 0.6614 0.0000
0.6717 0.0000 0.5000
0.1030 0.5544 0.2471
0.1129 0.2304 0.2528
0.1175 0.8871 0.2528
0.2163 0.4369 0.7543
0.2206 0.7837 0.7543
0.2304 0.1129 0.7472
0.4369 0.2163 0.2457
0.4456 0.5486 0.2471
0.4514 0.8970 0.2471
0.5486 0.4456 0.7529
0.5544 0.1030 0.7529
0.5631 0.7794 0.7543
0.7696 0.8825 0.2528
0.7794 0.5631 0.2457
0.7837 0.2206 0.2457
0.8825 0.7696 0.7472
0.8871 0.1175 0.7472
0.8970 0.4514 0.7529
```

The 12 most intense peaks (15° ≤ 2θ ≤ 90°), low angle first:
| d [Å] | 2theta | I_rel |
| --- | --- | --- |
| 4.566 | 19.44 | 38 |
| 3.951 | 22.50 | 79 |
| 3.227 | 27.64 | 91 |
| 2.988 | 29.90 | 47 |
| 2.637 | 34.00 | 100 |
| 2.500 | 35.92 | 54 |
| 2.282 | 39.50 | 36 |
| 2.041 | 44.38 | 35 |
| 1.725 | 53.10 | 93 |
| 1.614 | 57.05 | 27 |
| 1.522 | 60.85 | 33 |
| 1.141 | 84.99 | 30 |

***

For NaPr4S5, a cell relaxed with GGA-PBE gives the computed powder diffraction line list in this record (Cu Ka).
Peak positions follow from Bragg's law for the DFT cell and can differ from measured ones.

Cell and atoms:
```
NaPr4S5
1.0
-2.0540 2.8887 10.2946
2.0540 -2.8887 10.2946
2.0540 2.8887 -10.2946
Na Pr S
1 4 5
direct
0.0000 0.0000 0.0000
0.2025 0.2025 0.0000
0.4004 0.4004 0.0000
0.5996 0.5996 0.0000
0.7975 0.7975 0.0000
0.1013 0.6013 0.5000
0.3016 0.8016 0.5000
0.5000 0.0000 0.5000
0.6984 0.1984 0.5000
0.8987 0.3987 0.5000
```

The 12 most intense peaks (15° ≤ 2θ ≤ 90°), low angle first:
| d [Å] | 2theta | I_rel |
| --- | --- | --- |
| 5.563 | 15.93 | 13 |
| 3.351 | 26.60 | 88 |
| 2.908 | 30.74 | 100 |
| 2.889 | 30.96 | 49 |
| 2.059 | 43.98 | 18 |
| 2.054 | 44.09 | 18 |
| 2.050 | 44.19 | 71 |
| 1.753 | 52.19 | 30 |
| 1.744 | 52.47 | 15 |
| 1.675 | 54.80 | 37 |
| 1.299 | 72.80 | 24 |
| 1.294 | 73.16 | 16 |